Record 1
# LuNbNi2Sn2
Computed X-ray powder pattern, a wavelength of 1.5418 Å. Input: the PBE geometry in OQMD.
No peak broadening, texture or thermal motion is included.

Most intense lines, 10 to 90 degrees two-theta, in order of falling intensity:
2θ (°), Rel. int.
41.6, 100
29.1, 56
41.8, 20
75.9, 19
76.2, 14
25.2, 13

Lattice parameters (Å, degrees): 4.3201 8.6859 6.1408 90.00 90.00 90.00
Positions (direct):
Lu (0.0000, 0.1225, 0.0000)
Lu (0.5000, 0.8775, 0.5000)
Nb (0.0000, 0.6250, 0.9898)
Nb (0.5000, 0.3750, 0.4898)
Ni (0.0000, 0.3858, 0.7346)
Ni (0.0000, 0.8590, 0.7588)
Ni (0.5000, 0.1410, 0.2588)
Ni (0.5000, 0.6142, 0.2346)
Sn (0.0000, 0.1302, 0.5041)
Sn (0.0000, 0.6219, 0.4852)
Sn (0.5000, 0.3781, 0.9852)
Sn (0.5000, 0.8698, 0.0041)


Record 2
# NdSmTl2Zn2
Computed X-ray powder pattern, a wavelength of 1.5418 Å. Input: the PBE geometry in OQMD.
No peak broadening, texture or thermal motion is included.

Most intense lines, 10 to 90 degrees two-theta, in order of falling intensity:
2θ (°), Rel. int.
32.2, 100
37.9, 77
24.7, 39
50.6, 28
64.9, 27
42.1, 21

Lattice parameters (Å, degrees): 4.7429 4.7429 7.5595 90.00 90.00 120.00
Positions (direct):
Nd (0.0000, 0.0000, 0.0000)
Sm (0.0000, 0.0000, 0.5003)
Tl (0.3333, 0.6667, 0.7765)
Tl (0.6667, 0.3333, 0.2802)
Zn (0.3333, 0.6667, 0.1999)
Zn (0.6667, 0.3333, 0.6973)


Record 3
# Nb9P2O25
Computed X-ray powder pattern, a wavelength of 1.5418 Å. Input: the PBE geometry in OQMD.
No peak broadening, texture or thermal motion is included.

Most intense lines, 10 to 90 degrees two-theta, in order of falling intensity:
2θ (°), Rel. int.
24.9, 100
23.7, 48
32.7, 38
17.5, 28
30.6, 26
43.0, 22

Lattice parameters (Å, degrees): 11.4906 11.4906 11.4906 91.62 91.62 160.62
Positions (direct):
Nb (0.0000, 0.0000, 0.0000)
Nb (0.0963, 0.2214, 0.3177)
Nb (0.1259, 0.6837, 0.8095)
Nb (0.2214, 0.9037, 0.1250)
Nb (0.3163, 0.1259, 0.4422)
Nb (0.6837, 0.8741, 0.5578)
Nb (0.7786, 0.0963, 0.8750)
Nb (0.8741, 0.3163, 0.1905)
Nb (0.9037, 0.7786, 0.6823)
P (0.2500, 0.7500, 0.5000)
P (0.7500, 0.2500, 0.5000)
O (0.0161, 0.7196, 0.7357)
O (0.0483, 0.1170, 0.1653)
O (0.0847, 0.5555, 0.6402)
O (0.1170, 0.9517, 0.0687)
O (0.1575, 0.3518, 0.5093)
O (0.1798, 0.7875, 0.9673)
O (0.2125, 0.1798, 0.3923)
O (0.2501, 0.6107, 0.8607)
O (0.2804, 0.0161, 0.2965)
O (0.3518, 0.8425, 0.1943)
O (0.3893, 0.2501, 0.6394)
O (0.4445, 0.0847, 0.5292)
O (0.5000, 0.5000, 0.0000)
O (0.5555, 0.9153, 0.4708)
O (0.6107, 0.7499, 0.3606)
O (0.6482, 0.1575, 0.8057)
O (0.7196, 0.9839, 0.7035)
O (0.7499, 0.3893, 0.1393)
O (0.7875, 0.8202, 0.6077)
O (0.8202, 0.2125, 0.0327)
O (0.8425, 0.6482, 0.4907)
O (0.8830, 0.0483, 0.9313)
O (0.9153, 0.4445, 0.3598)
O (0.9517, 0.8830, 0.8347)
O (0.9839, 0.2804, 0.2643)


Record 4
# TbSm2S3
Computed X-ray powder pattern, a wavelength of 1.5418 Å. Input: the PBE geometry in OQMD.
No peak broadening, texture or thermal motion is included.

Most intense lines, 10 to 90 degrees two-theta, in order of falling intensity:
2θ (°), Rel. int.
31.8, 100
27.5, 78
45.6, 72
54.1, 29
56.7, 19
84.4, 18

Lattice parameters (Å, degrees): 3.9732 3.9732 9.7589 90.00 90.00 120.00
Positions (direct):
Tb (0.0000, 0.0000, 0.0000)
Sm (0.3333, 0.6667, 0.6683)
Sm (0.6667, 0.3333, 0.3317)
S (0.0000, 0.0000, 0.5000)
S (0.3333, 0.6667, 0.1605)
S (0.6667, 0.3333, 0.8395)


Record 5
# RbFeCl3
Computed X-ray powder pattern, a wavelength of 1.5418 Å. Input: the PBE geometry in OQMD.
No peak broadening, texture or thermal motion is included.

Most intense lines, 10 to 90 degrees two-theta, in order of falling intensity:
2θ (°), Rel. int.
30.0, 100
25.0, 83
20.1, 67
22.0, 53
12.4, 53
28.6, 49

Lattice parameters (Å, degrees): 5.9624 7.3464 7.9301 64.10 88.26 89.89
Positions (direct):
Rb (0.2478, 0.4099, 0.2655)
Rb (0.7522, 0.5901, 0.7345)
Fe (0.1573, 0.0328, 0.8864)
Fe (0.8427, 0.9672, 0.1136)
Cl (0.2340, 0.9484, 0.1913)
Cl (0.2431, 0.7687, 0.8202)
Cl (0.2476, 0.3598, 0.6971)
Cl (0.7524, 0.6402, 0.3029)
Cl (0.7569, 0.2313, 0.1798)
Cl (0.7660, 0.0516, 0.8087)


Record 6
# RbSmDyTe3
Computed X-ray powder pattern, a wavelength of 1.5418 Å. Input: the PBE geometry in OQMD.
No peak broadening, texture or thermal motion is included.

Most intense lines, 10 to 90 degrees two-theta, in order of falling intensity:
2θ (°), Rel. int.
10.5, 100
25.6, 83
28.7, 77
35.9, 57
29.8, 45
37.7, 36

Lattice parameters (Å, degrees): 8.7369 8.7369 12.0097 90.00 90.00 148.28
Positions (direct):
Rb (0.2436, 0.7564, 0.7500)
Rb (0.7564, 0.2436, 0.2500)
Sm (0.5000, 0.5000, 0.0000)
Sm (0.5000, 0.5000, 0.5000)
Dy (0.0341, 0.9659, 0.2500)
Dy (0.9659, 0.0341, 0.7500)
Te (0.1275, 0.8725, 0.0453)
Te (0.1275, 0.8725, 0.4547)
Te (0.4307, 0.5693, 0.2500)
Te (0.5693, 0.4307, 0.7500)
Te (0.8725, 0.1275, 0.5453)
Te (0.8725, 0.1275, 0.9547)